No. 1
# LiAlSi2HO7
Theoretical X-ray diffraction stick pattern, copper Kα. Input: a DFT-relaxed cell (PBE, the Materials Project).
Peak positions follow from Bragg's law for the DFT cell and can differ from measured ones.

Top 10 peaks for 2θ from 15° to 90°, in order of rising 2θ:
index, 2θ/deg, d_spacing, Rel. int.
0 1 -1, 20.2, 4.390, 16.7
1 0 1, 21.0, 4.234, 100.0
1 1 1, 21.9, 4.057, 10.4
0 2 0, 25.6, 3.483, 59.7
0 2 2, 26.0, 3.431, 49.0
1 1 -1, 26.9, 3.309, 15.7
-1 1 2, 27.3, 3.267, 23.4
1 0 -2, 28.7, 3.106, 17.8
1 1 -2, 35.3, 2.541, 14.4
2 0 0, 35.8, 2.505, 18.5

Atomic structure:
a = 5.011 Å, b = 7.686 Å, c = 8.736 Å
α = 65.00°, β = 89.88°, γ = 89.65°
Space group P1 (No. 1)
Unique sites:
Li1 0.000 0.000 0.000
Li2 0.490 0.287 0.381
Al1 0.478 0.222 0.065
Al2 0.997 0.252 0.582
Si1 0.036 0.669 0.580
Si2 0.499 0.065 0.790
Si3 0.534 0.654 0.794
Si4 0.979 0.093 0.305
H1 0.192 0.611 0.072
H2 0.479 0.667 0.316
O1 0.046 0.493 0.526
O2 0.114 0.201 0.413
O3 0.166 0.113 0.145
O4 0.169 0.706 0.121
O5 0.177 0.110 0.770
O6 0.335 0.711 0.631
O7 0.425 0.470 0.954
O8 0.479 0.579 0.261
O9 0.553 0.837 0.842
O10 0.620 0.106 0.946
O11 0.653 0.193 0.612
O12 0.684 0.187 0.239
O13 0.835 0.618 0.741
O14 0.933 0.864 0.422

No. 2
# TaPO5
Theoretical X-ray diffraction stick pattern, copper Kα. Input: a DFT-relaxed cell (PBE, the Materials Project).
Peak positions follow from Bragg's law for the DFT cell and can differ from measured ones.

Top 10 peaks for 2θ from 15° to 90°, in order of rising 2θ:
index, 2θ/deg, d_spacing, Rel. int.
1 1 0, 19.3, 4.607, 57.3
1 0 1, 25.9, 3.440, 100.0
2 0 0, 27.4, 3.258, 72.6
2 1 1, 38.0, 2.365, 35.1
2 2 0, 39.1, 2.303, 15.6
3 1 0, 43.9, 2.060, 23.9
3 0 1, 47.5, 1.914, 27.7
1 1 2, 49.1, 1.854, 21.2
3 2 1, 55.7, 1.650, 20.5
3 1 2, 64.5, 1.444, 24.5

Atomic structure:
a = 6.515 Å, b = 6.515 Å, c = 4.050 Å
α = 90.00°, β = 90.00°, γ = 90.00°
Space group P4/nmm (No. 129, origin choice 2)
Unique sites:
Ta1 0.250 0.250 0.236
P1 0.250 0.750 0.500
O1 0.055 0.750 0.716
O2 0.250 0.250 0.785

No. 3
# NbFeSi2
Theoretical X-ray diffraction stick pattern, copper Kα. Input: a DFT-relaxed cell (PBE, the Materials Project).
Peak positions follow from Bragg's law for the DFT cell and can differ from measured ones.

Top 10 peaks for 2θ from 15° to 90°, in order of rising 2θ:
index, 2θ/deg, d_spacing, Rel. int.
0 0 2, 23.5, 3.783, 31.7
1 2 2, 31.7, 2.820, 23.9
1 4 0, 38.6, 2.332, 48.2
3 1 2, 40.3, 2.239, 100.0
3 3 0, 41.9, 2.157, 49.9
2 3 2, 42.3, 2.138, 79.3
4 1 0, 42.6, 2.121, 33.2
0 4 2, 44.4, 2.039, 42.7
0 0 4, 48.1, 1.892, 39.1
6 2 2, 72.5, 1.303, 20.0

Atomic structure:
a = 8.696 Å, b = 9.684 Å, c = 7.568 Å
α = 90.00°, β = 90.00°, γ = 90.00°
Space group Pbam (No. 55)
Unique sites:
Nb1 0.169 0.182 0.000
Nb2 0.172 0.451 0.244
Fe1 0.000 0.000 0.245
Fe2 0.090 0.746 0.250
Si1 0.039 0.618 0.000
Si2 0.041 0.622 0.500
Si3 0.114 0.898 0.500
Si4 0.121 0.896 0.000
Si5 0.162 0.180 0.345

No. 4
# Bi3Sb
Theoretical X-ray diffraction stick pattern, copper Kα. Input: a DFT-relaxed cell (PBE, the Materials Project).
Peak positions follow from Bragg's law for the DFT cell and can differ from measured ones.

Top 10 peaks for 2θ from 15° to 90°, in order of rising 2θ:
index, 2θ/deg, d_spacing, Rel. int.
1 0 4, 27.1, 3.292, 100.0
0 1 8, 37.8, 2.379, 36.3
1 1 0, 39.5, 2.279, 39.4
1 0 10, 44.4, 2.042, 7.9
0 2 4, 48.6, 1.874, 21.0
2 0 8, 55.9, 1.646, 11.9
1 1 12, 61.9, 1.498, 13.4
2 1 4, 64.4, 1.447, 18.3
1 2 8, 70.6, 1.334, 12.1
3 0 0, 71.7, 1.316, 7.1

Atomic structure:
a = 4.5579 Å, b = 4.5579 Å, c = 23.8555 Å
α = 90.00°, β = 90.00°, γ = 120.00°
Space group R3m (No. 160, hexagonal axes)
Unique sites:
Bi1 0.0000 0.0000 0.0000
Bi2 0.0000 0.0000 0.2302
Bi3 0.0000 0.0000 0.7349
Sb1 0.0000 0.0000 0.4998

No. 5
# Sr2IrO4
Theoretical X-ray diffraction stick pattern, copper Kα. Input: a DFT-relaxed cell (PBE, the Materials Project).
Peak positions follow from Bragg's law for the DFT cell and can differ from measured ones.

Top 10 peaks for 2θ from 15° to 90°, in order of rising 2θ:
index, 2θ/deg, d_spacing, Rel. int.
1 0 1, 23.6, 3.777, 19.1
1 0 3, 30.9, 2.897, 100.0
1 1 0, 32.0, 2.796, 60.0
1 0 5, 42.1, 2.145, 21.0
0 0 6, 42.5, 2.128, 14.8
2 0 0, 45.9, 1.977, 30.0
1 1 6, 54.2, 1.693, 20.3
2 1 3, 56.3, 1.633, 38.2
2 1 5, 64.0, 1.454, 12.0
2 0 6, 64.3, 1.448, 16.3

Atomic structure:
a = 3.954 Å, b = 3.954 Å, c = 12.769 Å
α = 90.00°, β = 90.00°, γ = 90.00°
Space group I4/mmm (No. 139)
Unique sites:
Sr1 0.000 0.000 0.146
Ir1 0.000 0.000 0.500
O1 0.000 0.000 0.337
O2 0.000 0.500 0.000

No. 6
# PtSN4O4
Theoretical X-ray diffraction stick pattern, copper Kα. Input: a DFT-relaxed cell (PBE, the Materials Project).
Peak positions follow from Bragg's law for the DFT cell and can differ from measured ones.

Top 10 peaks for 2θ from 15° to 90°, in order of rising 2θ:
index, 2θ/deg, d_spacing, Rel. int.
1 1 2, 21.5, 4.138, 100.0
1 0 3, 22.1, 4.026, 13.3
0 0 4, 24.3, 3.669, 22.8
2 0 0, 25.1, 3.543, 20.2
2 1 1, 28.8, 3.097, 11.7
2 1 3, 33.7, 2.659, 14.3
2 0 4, 35.2, 2.549, 14.7
1 1 6, 41.1, 2.198, 12.2
3 1 2, 42.2, 2.143, 19.1
2 2 4, 43.8, 2.069, 13.8

Atomic structure:
a = 7.085 Å, b = 7.085 Å, c = 14.676 Å
α = 90.00°, β = 90.00°, γ = 90.00°
Space group I4_1/amd (No. 141, origin choice 2)
Unique sites:
Pt1 0.000 0.250 0.375
S1 0.000 0.250 0.875
N1 0.186 0.064 0.375
O1 0.000 0.081 0.814